No. 1
Computed powder XRD pattern of Li4ZnP2S8 for λ = 1.5418 Å (Cu Kα), from DFT lattice parameters and positions (GGA-PBE).

Top 12 peaks for 2θ = 10–80°, low angle first:
- 7.451 Å, 11.88°, intensity 63, hkl 0 1 -1
- 5.004 Å, 17.72°, intensity 67, hkl 0 1 -3
- 4.892 Å, 18.14°, intensity 78, hkl 1 -1 0
- 4.353 Å, 20.40°, intensity 33, hkl -1 1 2
- 3.415 Å, 26.09°, intensity 100, hkl 0 2 3
- 3.183 Å, 28.03°, intensity 67, hkl 0 0 6
- 3.070 Å, 29.09°, intensity 90, hkl 2 0 0
- 2.984 Å, 29.94°, intensity 84, hkl 1 -2 3
- 2.826 Å, 31.66°, intensity 39, hkl 1 0 -6
- 2.023 Å, 44.80°, intensity 35, hkl 0 4 0
- 1.881 Å, 48.39°, intensity 25, hkl 0 2 -9
- 1.756 Å, 52.07°, intensity 48, hkl 3 -2 3

Cell and atoms:
Lattice parameters (Å, degrees): 6.1404 8.0920 19.0987 90.13 90.13 90.10
Element x y z (fractional)
Li (0.0000, 0.0000, 0.0000)
Li (0.0002, 0.0018, 0.3171)
Li (0.4889, 0.7589, 0.9442)
Li (0.4905, 0.0065, 0.7834)
Li (0.4911, 0.5064, 0.4552)
Li (0.4974, 0.0075, 0.1316)
Li (0.4978, 0.4963, 0.7830)
Li (0.5008, 0.9938, 0.4471)
Li (0.9917, 0.2426, 0.5015)
Li (0.9917, 0.2564, 0.8369)
Li (0.9926, 0.5068, 0.9952)
Li (0.9994, 0.5091, 0.6536)
Zn (0.0033, 0.5116, 0.3243)
Zn (0.5027, 0.4916, 0.1258)
Zn (0.9994, 0.9805, 0.6535)
P (0.0050, 0.7484, 0.8276)
P (0.0130, 0.7596, 0.4935)
P (0.4859, 0.2402, 0.6152)
P (0.4923, 0.2663, 0.2861)
P (0.5051, 0.2486, 0.9520)
P (0.9910, 0.7372, 0.1613)
S (0.3278, 0.7410, 0.1502)
S (0.3395, 0.7507, 0.8252)
S (0.3395, 0.7555, 0.4999)
S (0.3737, 0.2619, 0.1841)
S (0.3838, 0.0209, 0.6600)
S (0.3869, 0.4842, 0.3313)
S (0.3899, 0.0495, 0.3267)
S (0.3896, 0.4512, 0.6620)
S (0.3944, 0.2535, 0.8500)
S (0.3945, 0.4637, 0.0013)
S (0.3963, 0.0415, 0.0025)
S (0.3990, 0.2435, 0.5116)
S (0.8302, 0.2659, 0.2910)
S (0.8318, 0.2371, 0.6236)
S (0.8400, 0.2503, 0.9537)
S (0.8667, 0.7523, 0.5923)
S (0.8830, 0.7440, 0.2637)
S (0.8833, 0.9507, 0.1187)
S (0.8846, 0.5177, 0.1173)
S (0.8929, 0.5416, 0.4465)
S (0.8931, 0.9618, 0.7764)
S (0.8938, 0.5393, 0.7783)
S (0.8947, 0.7576, 0.9289)
S (0.8985, 0.9654, 0.4427)

No. 2
Computed powder XRD pattern of Li4ZnP2S8 for λ = 1.5418 Å (Cu Kα), from DFT lattice parameters and positions (GGA-PBE).

Top 12 peaks for 2θ = 10–80°, low angle first:
- 7.451 Å, 11.88°, intensity 19, hkl 1 1 0
- 4.925 Å, 18.01°, intensity 91, hkl 1 1 2
- 3.101 Å, 28.79°, intensity 100, hkl 0 0 3
- 3.090 Å, 28.90°, intensity 100, hkl 2 -2 1
- 2.483 Å, 36.18°, intensity 12, hkl 3 3 0
- 2.032 Å, 44.60°, intensity 40, hkl 4 4 2
- 1.841 Å, 49.50°, intensity 16, hkl 1 3 5
- 1.837 Å, 49.63°, intensity 32, hkl -1 5 1
- 1.832 Å, 49.77°, intensity 16, hkl 5 -1 1
- 1.701 Å, 53.90°, intensity 15, hkl 2 6 1
- 1.697 Å, 54.02°, intensity 20, hkl 4 4 -1
- 1.573 Å, 58.70°, intensity 11, hkl 3 -1 6

Cell and atoms:
Lattice parameters (Å, degrees): 10.2475 10.2782 10.2814 77.31 65.78 75.17
Element x y z (fractional)
Li (0.0000, 0.0000, 0.0000)
Li (0.0322, 0.8863, 0.6650)
Li (0.1401, 0.6271, 0.9887)
Li (0.2147, 0.3908, 0.3335)
Li (0.2947, 0.1338, 0.6629)
Li (0.3345, 0.0112, 0.3239)
Li (0.3887, 0.8748, 0.9830)
Li (0.6233, 0.1353, 0.0017)
Li (0.7040, 0.8909, 0.3509)
Li (0.7858, 0.6430, 0.6784)
Li (0.8405, 0.5215, 0.3455)
Li (0.9579, 0.1465, 0.3357)
Zn (0.4516, 0.6364, 0.3358)
Zn (0.5321, 0.3860, 0.6795)
Zn (0.8759, 0.3889, 0.0001)
P (0.0884, 0.7678, 0.3273)
P (0.2530, 0.2587, 0.0000)
P (0.4054, 0.7593, 0.6643)
P (0.5897, 0.2577, 0.3313)
P (0.7492, 0.7586, 0.0115)
P (0.9111, 0.2664, 0.6733)
S (0.0428, 0.2111, 0.0737)
S (0.0453, 0.0969, 0.7292)
S (0.0923, 0.9333, 0.4067)
S (0.1524, 0.8047, 0.1071)
S (0.2062, 0.7118, 0.7384)
S (0.2161, 0.6009, 0.3998)
S (0.2565, 0.4176, 0.0822)
S (0.3102, 0.3091, 0.7798)
S (0.3831, 0.0871, 0.0580)
S (0.3844, 0.2153, 0.4060)
S (0.4309, 0.9193, 0.7305)
S (0.4786, 0.8060, 0.4375)
S (0.5469, 0.7050, 0.0871)
S (0.5488, 0.5946, 0.7203)
S (0.5874, 0.4301, 0.4186)
S (0.6475, 0.3173, 0.1125)
S (0.7080, 0.2154, 0.7445)
S (0.7206, 0.1033, 0.4002)
S (0.7540, 0.9212, 0.0959)
S (0.8037, 0.8083, 0.7983)
S (0.8829, 0.7203, 0.4185)
S (0.8879, 0.5881, 0.0746)
S (0.9249, 0.4299, 0.7509)
S (0.9820, 0.3164, 0.4524)

Please write out number 2 again, unchanged.
Computed powder XRD pattern of Li4ZnP2S8 for λ = 1.5418 Å (Cu Kα), from DFT lattice parameters and positions (GGA-PBE).

Top 12 peaks for 2θ = 10–80°, low angle first:
- 7.451 Å, 11.88°, intensity 19, hkl 1 1 0
- 4.925 Å, 18.01°, intensity 91, hkl 1 1 2
- 3.101 Å, 28.79°, intensity 100, hkl 0 0 3
- 3.090 Å, 28.90°, intensity 100, hkl 2 -2 1
- 2.483 Å, 36.18°, intensity 12, hkl 3 3 0
- 2.032 Å, 44.60°, intensity 40, hkl 4 4 2
- 1.841 Å, 49.50°, intensity 16, hkl 1 3 5
- 1.837 Å, 49.63°, intensity 32, hkl -1 5 1
- 1.832 Å, 49.77°, intensity 16, hkl 5 -1 1
- 1.701 Å, 53.90°, intensity 15, hkl 2 6 1
- 1.697 Å, 54.02°, intensity 20, hkl 4 4 -1
- 1.573 Å, 58.70°, intensity 11, hkl 3 -1 6

Cell and atoms:
Lattice parameters (Å, degrees): 10.2475 10.2782 10.2814 77.31 65.78 75.17
Element x y z (fractional)
Li (0.0000, 0.0000, 0.0000)
Li (0.0322, 0.8863, 0.6650)
Li (0.1401, 0.6271, 0.9887)
Li (0.2147, 0.3908, 0.3335)
Li (0.2947, 0.1338, 0.6629)
Li (0.3345, 0.0112, 0.3239)
Li (0.3887, 0.8748, 0.9830)
Li (0.6233, 0.1353, 0.0017)
Li (0.7040, 0.8909, 0.3509)
Li (0.7858, 0.6430, 0.6784)
Li (0.8405, 0.5215, 0.3455)
Li (0.9579, 0.1465, 0.3357)
Zn (0.4516, 0.6364, 0.3358)
Zn (0.5321, 0.3860, 0.6795)
Zn (0.8759, 0.3889, 0.0001)
P (0.0884, 0.7678, 0.3273)
P (0.2530, 0.2587, 0.0000)
P (0.4054, 0.7593, 0.6643)
P (0.5897, 0.2577, 0.3313)
P (0.7492, 0.7586, 0.0115)
P (0.9111, 0.2664, 0.6733)
S (0.0428, 0.2111, 0.0737)
S (0.0453, 0.0969, 0.7292)
S (0.0923, 0.9333, 0.4067)
S (0.1524, 0.8047, 0.1071)
S (0.2062, 0.7118, 0.7384)
S (0.2161, 0.6009, 0.3998)
S (0.2565, 0.4176, 0.0822)
S (0.3102, 0.3091, 0.7798)
S (0.3831, 0.0871, 0.0580)
S (0.3844, 0.2153, 0.4060)
S (0.4309, 0.9193, 0.7305)
S (0.4786, 0.8060, 0.4375)
S (0.5469, 0.7050, 0.0871)
S (0.5488, 0.5946, 0.7203)
S (0.5874, 0.4301, 0.4186)
S (0.6475, 0.3173, 0.1125)
S (0.7080, 0.2154, 0.7445)
S (0.7206, 0.1033, 0.4002)
S (0.7540, 0.9212, 0.0959)
S (0.8037, 0.8083, 0.7983)
S (0.8829, 0.7203, 0.4185)
S (0.8879, 0.5881, 0.0746)
S (0.9249, 0.4299, 0.7509)
S (0.9820, 0.3164, 0.4524)